(1)
# DyErGa4Ir2
Calculated powder diffraction line list, CuKα. Input: a crystal structure in OQMD, relaxed with PBE.
Neutral-atom scattering factors, no anomalous dispersion.

Cell and atoms:
```
DyErGa4Ir2
1.0
4.164 0.000 0.000
0.000 7.068 0.000
-2.072 0.000 5.049
Dy Er Ga Ir
1 1 4 2
Cartesian
0.000 0.000 0.000
2.087 3.534 3.614
0.009 1.410 2.889
0.009 5.658 2.889
2.077 2.135 0.731
2.077 4.933 0.731
-0.005 3.534 1.442
2.091 0.000 2.171
```

The 6 most intense peaks (2θ = 15–90°), in order of falling intensity:
2θ/deg	I (rel.)
36.61	100
34.45	77
37.84	47
43.47	36
25.20	34
45.12	23


(2)
# Cu3As
Calculated powder diffraction line list, CuKα. Input: a crystal structure in OQMD, relaxed with PBE.
Neutral-atom scattering factors, no anomalous dispersion.

Cell and atoms:
```
Cu3As
1.0
-4.810 4.810 4.810
4.810 -4.810 4.810
4.810 4.810 -4.810
Cu As
24 8
Cartesian
7.490 -0.595 1.260
1.810 -0.276 1.145
5.405 -1.260 2.681
1.145 1.810 -0.276
4.534 3.665 -1.810
3.665 1.810 0.276
3.665 -1.810 4.534
-0.276 1.145 1.810
5.955 3.000 0.276
5.405 1.260 2.129
1.810 0.276 3.665
2.681 5.405 -1.260
0.276 3.665 1.810
4.215 3.550 2.129
3.000 0.276 5.955
3.550 2.129 4.215
2.129 5.405 1.260
1.260 7.490 -0.595
1.260 2.129 5.405
2.129 4.215 3.550
-1.260 2.681 5.405
-1.810 4.534 3.665
-0.595 1.260 7.490
0.276 5.955 3.000
2.696 2.114 -2.114
5.101 -0.291 0.291
2.114 -2.114 2.696
2.114 2.114 2.114
-2.114 2.696 2.114
0.291 5.101 -0.291
-0.291 0.291 5.101
4.519 4.519 4.519
```

The 6 most intense peaks (2θ = 15–90°), in order of falling intensity:
2θ/deg	I (rel.)
44.16	100
48.24	86
46.23	52
42.00	48
72.16	25
29.36	24


(3)
# DyHf2P3
Calculated powder diffraction line list, CuKα. Input: a crystal structure in OQMD, relaxed with PBE.
Neutral-atom scattering factors, no anomalous dispersion.

Cell and atoms:
```
DyHf2P3
1.0
3.789 0.000 0.000
-1.895 3.282 0.000
0.000 0.000 9.281
Dy Hf P
1 2 3
Cartesian
0.000 0.000 0.000
0.000 2.188 3.184
1.895 1.094 6.097
0.000 0.000 4.640
0.000 2.188 7.587
1.895 1.094 1.693
```

The 6 most intense peaks (2θ = 15–90°), in order of falling intensity:
2θ/deg	I (rel.)
33.44	100
28.86	93
48.02	71
57.00	44
80.09	31
89.63	24


(4)
# Li4Zn2NiPd
Calculated powder diffraction line list, CuKα. Input: a crystal structure in OQMD, relaxed with PBE.
Neutral-atom scattering factors, no anomalous dispersion.

Cell and atoms:
```
Li4Zn2NiPd
1.0
4.212 0.000 0.000
0.000 4.212 0.000
0.000 0.000 5.953
Li Zn Ni Pd
4 2 1 1
Cartesian
0.000 0.000 0.000
0.000 2.106 1.457
2.106 0.000 4.497
2.106 2.106 2.977
0.000 2.106 4.555
2.106 0.000 1.398
2.106 2.106 0.000
0.000 0.000 2.977
```

The 6 most intense peaks (2θ = 15–90°), in order of falling intensity:
2θ/deg	I (rel.)
25.91	100
42.95	97
50.85	45
78.72	29
68.70	17
62.37	15


(5)
# Sn4Ir3S
Calculated powder diffraction line list, CuKα. Input: a crystal structure in OQMD, relaxed with PBE.
Neutral-atom scattering factors, no anomalous dispersion.

Cell and atoms:
```
Sn4Ir3S
1.0
3.571 0.000 0.000
0.000 4.231 0.000
-0.009 0.000 10.191
Sn Ir S
4 3 1
Cartesian
0.000 0.000 0.000
0.018 2.116 2.466
0.039 2.116 7.732
1.911 0.000 5.104
1.731 2.116 0.002
1.830 0.000 2.156
1.845 0.000 8.038
0.156 2.116 5.094
```

The 6 most intense peaks (2θ = 15–90°), in order of falling intensity:
2θ/deg	I (rel.)
37.38	100
42.49	73
35.22	46
42.74	38
34.01	31
32.82	29


(6)
# LiYSnPd
Calculated powder diffraction line list, CuKα. Input: a crystal structure in OQMD, relaxed with PBE.
Neutral-atom scattering factors, no anomalous dispersion.

Cell and atoms:
```
LiYSnPd
1.0
4.771 0.000 0.000
0.000 4.771 0.000
0.000 0.000 6.746
Li Y Sn Pd
2 2 2 2
Cartesian
0.000 2.385 1.675
2.385 0.000 5.070
0.000 0.000 0.000
2.385 2.385 3.373
0.000 0.000 3.373
2.385 2.385 0.000
0.000 2.385 5.060
2.385 0.000 1.685
```

The 6 most intense peaks (2θ = 15–90°), in order of falling intensity:
2θ/deg	I (rel.)
37.71	100
68.09	35
22.83	27
54.40	17
44.54	14
26.42	12


(7)
# ReBr4
Calculated powder diffraction line list, CuKα. Input: a crystal structure in OQMD, relaxed with PBE.
Neutral-atom scattering factors, no anomalous dispersion.

Cell and atoms:
```
ReBr4
1.0
6.270 -3.369 0.000
6.270 3.369 0.000
-5.543 0.000 6.544
Re Br
2 8
Cartesian
6.270 2.015 0.000
6.270 -2.015 0.000
2.150 1.790 4.552
1.699 0.000 1.214
4.847 1.790 1.992
-0.648 0.000 5.544
7.644 0.000 1.000
2.150 -1.790 4.552
5.297 0.000 5.330
4.847 -1.790 1.992
```

The 6 most intense peaks (2θ = 15–90°), in order of falling intensity:
2θ/deg	I (rel.)
32.50	100
18.55	50
32.27	49
49.80	31
20.74	29
42.20	28


(8)
# AgBiSbF
Calculated powder diffraction line list, CuKα. Input: a crystal structure in OQMD, relaxed with PBE.
Neutral-atom scattering factors, no anomalous dispersion.

Cell and atoms:
```
AgBiSbF
1.0
6.879 0.000 0.000
0.000 7.322 0.000
0.000 0.000 7.470
Ag Bi Sb F
4 4 4 4
Cartesian
1.694 0.042 1.166
1.746 7.280 4.901
5.134 3.619 6.303
5.185 3.703 2.569
1.343 3.924 5.667
2.097 3.398 1.932
4.782 7.058 1.803
5.537 0.263 5.538
0.438 5.777 3.013
3.002 1.545 6.748
3.877 5.206 4.457
6.442 2.116 0.722
1.244 2.388 3.883
2.196 4.933 0.148
4.684 1.273 3.587
5.635 6.049 7.321
```

The 6 most intense peaks (2θ = 15–90°), in order of falling intensity:
2θ/deg	I (rel.)
35.82	100
29.83	96
34.30	82
31.12	76
52.27	54
35.48	47


(9)
# La2Dy2CBr2Cl3
Calculated powder diffraction line list, CuKα. Input: a crystal structure in OQMD, relaxed with PBE.
Neutral-atom scattering factors, no anomalous dispersion.

Cell and atoms:
```
La2Dy2CBr2Cl3
1.0
9.094 -1.904 0.000
9.094 1.904 0.000
-2.165 0.000 7.680
La Dy C Br Cl
2 2 1 2 3
Cartesian
2.481 0.000 0.732
13.542 0.000 6.948
8.647 0.000 1.601
7.377 0.000 6.079
0.000 0.000 0.000
5.708 0.000 1.467
10.316 0.000 6.213
-1.083 0.000 3.840
4.931 0.000 4.863
11.093 0.000 2.817
```

The 6 most intense peaks (2θ = 15–90°), in order of falling intensity:
2θ/deg	I (rel.)
32.52	100
30.64	58
46.17	36
44.39	29
34.42	21
31.94	20


(10)
# TbYAu2S4
Calculated powder diffraction line list, CuKα. Input: a crystal structure in OQMD, relaxed with PBE.
Neutral-atom scattering factors, no anomalous dispersion.

Cell and atoms:
```
TbYAu2S4
1.0
4.134 0.000 0.000
-2.067 3.580 0.000
0.000 0.000 14.759
Tb Y Au S
1 1 2 4
Cartesian
0.000 0.000 0.000
0.000 0.000 7.380
0.000 2.387 11.065
2.067 1.193 3.695
0.000 2.387 8.760
0.000 2.387 13.369
2.067 1.193 1.390
2.067 1.193 5.999
```

The 6 most intense peaks (2θ = 15–90°), in order of falling intensity:
2θ/deg	I (rel.)
25.60	100
27.69	85
43.80	42
44.70	34
24.12	33
50.62	29


(11)
# Ni5SnN
Calculated powder diffraction line list, CuKα. Input: a crystal structure in OQMD, relaxed with PBE.
Neutral-atom scattering factors, no anomalous dispersion.

Cell and atoms:
```
Ni5SnN
1.0
3.546 0.000 0.000
0.000 3.546 0.000
0.000 0.000 6.355
Ni Sn N
5 1 1
Cartesian
0.000 0.000 0.000
0.000 1.773 1.994
0.000 1.773 4.361
1.773 0.000 1.994
1.773 0.000 4.361
1.773 1.773 0.000
0.000 0.000 3.178
```

The 6 most intense peaks (2θ = 15–90°), in order of falling intensity:
2θ/deg	I (rel.)
46.11	100
38.60	88
51.54	52
42.68	38
69.08	34
85.69	19


(12)
# GdDyMg3Ni2
Calculated powder diffraction line list, CuKα. Input: a crystal structure in OQMD, relaxed with PBE.
Neutral-atom scattering factors, no anomalous dispersion.

Cell and atoms:
```
GdDyMg3Ni2
1.0
3.653 0.000 0.000
0.000 1.979 10.486
0.000 -1.979 10.486
Gd Dy Mg Ni
1 1 3 2
Cartesian
0.000 0.000 0.000
0.000 0.000 13.567
0.000 0.000 17.269
1.826 0.000 5.103
1.826 0.000 8.463
1.826 0.000 2.312
1.826 0.000 11.257
```

The 6 most intense peaks (2θ = 15–90°), in order of falling intensity:
2θ/deg	I (rel.)
35.83	100
39.87	64
35.55	60
33.66	52
25.86	41
25.48	27